The following is a theoretical X-ray powder pattern of PrNi2Au2N. It was derived from a GGA-PBE-relaxed structure, using Cu Kα (weighted mean of Kα1 and Kα2).

Principal peaks in the range 2θ = 15–90°, by angle:
d/Å	2theta	intensity	h k l
3.474	25.65	32	0 0 4
2.979	30.00	24	1 0 3
2.557	35.09	100	1 1 2
2.261	39.87	11	1 0 5
2.156	41.90	28	1 1 4
1.945	46.70	34	2 0 0
1.771	51.59	33	1 1 6
1.737	52.70	12	0 0 8
1.697	54.04	17	2 0 4
1.375	68.19	11	2 2 0
1.295	73.04	18	2 0 8
1.211	79.06	19	3 1 2

Structure:
a b c (Å): 3.8898 3.8898 13.8945
angles (deg): 90.00 90.00 90.00
Space group I4/mmm (No. 139)
Symmetry-distinct sites (fractional):
Pr 0.0000 0.0000 0.0000 [2 per cell]
Ni 0.0000 0.0000 0.3750 [4 per cell]
Au 0.0000 0.5000 0.2500 [4 per cell]
N 0.0000 0.0000 0.5000 [2 per cell]